No. 1
The following is a calculated PXRD pattern of Ca4Ag. It was derived from DFT lattice parameters and positions (PBE), using copper Kα.
Lines closer than 0.1° are merged.

The 10 most intense peaks (2θ = 10–90°), by angle:
2θ/deg, I/Imax, hkl
11.62, 81, 0 0 1
13.30, 100, 0 1 0
26.78, 21, 0 2 2
28.44, 20, 1 2 2
30.13, 26, 1 -1 2
30.99, 22, 2 -1 1
31.78, 40, 0 1 3
35.57, 24, 2 1 3
36.91, 33, 2 2 2
37.07, 27, 2 -2 0

Crystal structure
Unit cell a=6.444 b=7.403 c=8.974 alpha=65.78 beta=70.33 gamma=89.77
Element x y z (fractional)
1 Ca 0.074 0.405 0.342
2 Ca 0.166 0.019 0.154
3 Ca 0.334 0.674 0.848
4 Ca 0.424 0.249 0.660
5 Ca 0.576 0.751 0.340
6 Ca 0.666 0.326 0.152
7 Ca 0.834 0.981 0.846
8 Ca 0.926 0.595 0.658
9 Ag 0.252 0.000 0.500
10 Ag 0.748 0.000 0.500

---

No. 2
The following is a calculated PXRD pattern of AlSbW. It was derived from DFT lattice parameters and positions (PBE), using copper Kα.
Lines closer than 0.1° are merged.

The 10 most intense peaks (2θ = 10–90°), by angle:
2θ/deg, I/Imax, hkl
20.59, 25, 0 0 2
27.65, 45, 1 0 1
36.54, 68, 1 1 0
40.71, 100, 1 0 3
42.30, 16, 1 1 2
52.63, 24, 2 0 0
68.59, 43, 2 1 3
76.79, 15, 1 1 6
88.16, 11, 2 0 6
89.00, 11, 3 1 0

Crystal structure
Unit cell a=3.478 b=3.478 c=8.627 alpha=90.00 beta=90.00 gamma=90.00
Element x y z (fractional)
1 Al 0.000 0.000 0.000
2 Al 0.500 0.500 0.500
3 Sb 0.000 0.000 0.323
4 Sb 0.500 0.500 0.823
5 W 0.000 0.000 0.657
6 W 0.500 0.500 0.157

---

No. 3
The following is a calculated PXRD pattern of TiAg2BiO4. It was derived from DFT lattice parameters and positions (PBE), using copper Kα.
Lines closer than 0.1° are merged.

The 10 most intense peaks (2θ = 10–90°), by angle:
2θ/deg, I/Imax, hkl
15.35, 43, 0 1 1
25.12, 67, 1 1 0
25.23, 85, 0 2 1
30.42, 100, 1 0 2
33.03, 37, 0 1 3
33.91, 99, 1 2 1
36.38, 52, 0 3 1
38.41, 59, 1 0 3
45.46, 38, 2 0 0
52.69, 33, 0 0 5

Crystal structure
Unit cell a=3.990 b=7.726 c=8.688 alpha=90.00 beta=90.00 gamma=90.00
Element x y z (fractional)
1 Ti 0.250 0.250 0.114
2 Ti 0.750 0.750 0.886
3 Ag 0.250 0.559 0.602
4 Ag 0.250 0.941 0.602
5 Ag 0.750 0.059 0.398
6 Ag 0.750 0.441 0.398
7 Bi 0.250 0.750 0.204
8 Bi 0.750 0.250 0.796
9 O 0.250 0.057 0.238
10 O 0.250 0.250 0.891
11 O 0.250 0.443 0.238
12 O 0.250 0.750 0.938
13 O 0.750 0.250 0.062
14 O 0.750 0.557 0.762
15 O 0.750 0.750 0.109
16 O 0.750 0.943 0.762